Structure and computed powder diffraction line list of KDyCuO2 (a PBE-relaxed structure; a wavelength of 1.5418 Å).

Peak list (8 most intense, 10 to 80 degrees two-theta, by intensity)
| 2theta | I (rel.) | index |
| --- | --- | --- |
| 13.23 | 100 | 1 0 0 |
| 26.63 | 32 | 2 0 0 |
| 31.33 | 32 | 1 1 -2 |
| 34.38 | 25 | 1 2 0 |
| 32.39 | 22 | 0 1 2 |
| 20.54 | 21 | 1 1 0 |
| 38.58 | 19 | 1 1 2 |
| 35.83 | 17 | 2 1 -2 |

Crystal structure
```
10
Lattice="7.0731 0.0000 0.0000 0.0000 5.6643 0.0000 -2.1622 0.0000 6.3344" Properties=species:S:1:pos:R:3 pbc="T T T"
K -0.5405 1.0708 1.5836
K -1.6216 4.5936 4.7508
Dy 1.9149 2.7613 4.7508
Dy 2.9960 2.9031 1.5836
Cu 3.5366 0.0000 0.0000
Cu 2.4555 0.0000 3.1672
O 1.6879 1.6552 2.8470
O 0.6068 4.0091 6.0142
O 4.3042 1.6552 0.3202
O 3.2231 4.0091 3.4874
```